Diffraction record for La3Tl3SbS8. The powder XRD pattern is computed, not measured: it uses a cell relaxed with GGA-PBE and Cu Kα (λ = 1.5418 Å).
Kinematic intensities with the Lorentz-polarization factor, no thermal factor.

Main lines, by angle (10 to 90 degrees two-theta):
Position (°2θ)	I/Imax	(hkl)
12.8	16	1 0 1
14.5	12	0 1 2
23.6	25	0 0 6
25.7	54	2 0 2
29.2	100	0 2 4
40.4	37	2 0 8
43.1	36	2 2 0
47.3	15	0 2 10
49.7	22	2 2 6
52.9	18	4 0 4
66.6	14	2 2 12
70.5	15	2 4 4

Structural model:
a b c (Å): 8.3931 8.3931 22.6604
angles (deg): 90.00 90.00 120.00
Space group R-3m (No. 166, hexagonal axes)
Symmetry-distinct sites (fractional):
1 La 0.0000 0.5000 0.0000 (multiplicity 9)
2 Tl 0.0000 0.5000 0.5000 (multiplicity 9)
3 Sb 0.0000 0.0000 0.0000 (multiplicity 3)
4 S 0.0000 0.0000 0.2653 (multiplicity 6)
5 S 0.0254 0.5127 0.7311 (multiplicity 18)

=====

Diffraction record for La5Se5S2. The powder XRD pattern is computed, not measured: it uses a cell relaxed with GGA-PBE and Cu Kα (λ = 1.5418 Å).
Kinematic intensities with the Lorentz-polarization factor, no thermal factor.

Main lines, by angle (10 to 90 degrees two-theta):
Position (°2θ)	I/Imax	(hkl)
22.5	87	2 0 2
22.6	56	2 0 -3
28.6	100	3 1 -1
29.1	66	2 0 3
30.1	71	3 1 -2
31.4	41	3 1 1
33.3	31	3 1 -3
36.1	55	1 1 -4
39.6	31	5 1 0
43.0	33	6 0 -4
43.1	50	0 2 0
49.2	36	2 2 2

Structural model:
a b c (Å): 14.104 4.194 12.388
angles (deg): 90.00 106.18 90.00
Space group C2/m (No. 12)
Symmetry-distinct sites (fractional):
1 La 0.000 0.000 0.000 (multiplicity 2)
2 La 0.110 0.000 0.414 (multiplicity 4)
3 La 0.189 0.500 0.806 (multiplicity 4)
4 Se 0.000 0.500 0.500 (multiplicity 2)
5 Se 0.161 0.500 0.052 (multiplicity 4)
6 Se 0.242 0.500 0.351 (multiplicity 4)
7 S 0.045 0.000 0.789 (multiplicity 4)